No. 1
Diffraction record for FeH4C3O5. The X-ray diffraction stick pattern is theoretical, not measured: it uses a DFT-relaxed cell (GGA+U, the Materials Project) and Cu Kα, 1.54184 Å.

Main lines, by angle (2θ from 10° to 90°):
2θ/deg	Rel. int.	index
16.9	405	1 1 0
18.3	675	1 1 -1
18.8	227	0 0 2
20.3	984	1 1 1
23.4	469	2 1 0
23.6	1000	2 1 -1
23.8	237	1 1 -2
26.8	466	2 1 1
29.9	341	1 2 0
37.1	282	1 0 -4
38.2	439	4 0 -2
40.3	274	2 1 3

Structural model:
```
data_FeH4C3O5
_space_group_name_H-M_alt 'P 1 c 1'
_space_group_IT_number 7
_space_group_name_Hall 'P -2yc'
_cell_length_a 9.813
_cell_length_b 6.289
_cell_length_c 9.680
_cell_angle_alpha 90.00
_cell_angle_beta 102.85
_cell_angle_gamma 90.00
loop_
_atom_site_label
_atom_site_type_symbol
_atom_site_fract_x
_atom_site_fract_y
_atom_site_fract_z
Fe1 Fe 0.000 0.223 0.000
Fe2 Fe 0.270 0.277 0.561
H1 H 0.352 0.106 0.956
H2 H 0.558 0.109 0.183
H3 H 0.579 0.119 0.004
H4 H 0.583 0.132 0.593
H5 H 0.691 0.409 0.805
H6 H 0.702 0.474 0.987
H7 H 0.703 0.317 0.361
H8 H 0.922 0.401 0.357
C1 C 0.058 0.101 0.728
C2 C 0.212 0.399 0.264
C3 C 0.344 0.472 0.836
C4 C 0.536 0.027 0.081
C5 C 0.736 0.481 0.391
C6 C 0.925 0.026 0.241
O1 O 0.105 0.076 0.617
O2 O 0.109 0.220 0.832
O3 O 0.160 0.281 0.344
O4 O 0.165 0.423 0.131
O5 O 0.386 0.002 0.030
O6 O 0.388 0.327 0.767
O7 O 0.396 0.480 0.464
O8 O 0.872 0.023 0.844
O9 O 0.881 0.172 0.151
O10 O 0.887 0.491 0.423
```

=====

No. 2
Diffraction record for Fe2P2H6C2O13. The X-ray diffraction stick pattern is theoretical, not measured: it uses a DFT-relaxed cell (GGA+U, the Materials Project) and Cu Kα, 1.54184 Å.

Main lines, by angle (2θ from 10° to 90°):
2θ/deg	Rel. int.	index
13.4	1000	0 1 1
16.0	431	0 2 1
18.9	239	1 0 0
19.5	150	0 3 1
19.7	168	1 1 -1
23.6	204	0 4 1
26.2	643	1 0 -2
27.6	190	1 4 0
27.8	177	1 2 1
30.0	416	1 3 1
38.1	97	1 2 -3
44.6	111	1 5 2

Structural model:
```
data_Fe2P2H6C2O13
_space_group_name_H-M_alt 'P 1 21 1'
_space_group_IT_number 4
_space_group_name_Hall 'P 2yb'
_cell_length_a 4.956
_cell_length_b 17.857
_cell_length_c 7.489
_cell_angle_alpha 90.00
_cell_angle_beta 108.87
_cell_angle_gamma 90.00
loop_
_atom_site_label
_atom_site_type_symbol
_atom_site_fract_x
_atom_site_fract_y
_atom_site_fract_z
Fe1 Fe 0.078 0.000 0.315
Fe2 Fe 0.079 0.806 0.814
P1 P 0.281 0.341 0.893
P2 P 0.282 0.464 0.394
H1 H 0.298 0.853 0.552
H2 H 0.305 0.511 0.249
H3 H 0.308 0.294 0.750
H4 H 0.313 0.951 0.057
H5 H 0.359 0.040 0.069
H6 H 0.408 0.769 0.596
C1 C 0.150 0.646 0.822
C2 C 0.152 0.159 0.320
O1 O 0.105 0.296 0.990
O2 O 0.106 0.509 0.492
O3 O 0.137 0.391 0.305
O4 O 0.139 0.413 0.801
O5 O 0.228 0.578 0.852
O6 O 0.233 0.227 0.348
O7 O 0.235 0.000 0.086
O8 O 0.242 0.135 0.865
O9 O 0.244 0.802 0.586
O10 O 0.292 0.102 0.395
O11 O 0.292 0.703 0.896
O12 O 0.412 0.944 0.477
O13 O 0.414 0.861 0.976
```